This entry pairs a crystal structure of Pr2Si5Pt3 with its theoretical PXRD pattern. Radiation: Cu Kα. Structure: the GGA-PBE geometry in the Materials Project.

Largest 10 diffraction maxima, by angle, 10 to 80 degrees two-theta:
2θ (°)  I/Imax
24.11  26
24.47  45
27.69  21
31.41  41
34.11  100
34.22  32
35.49  28
42.68  66
54.85  26
56.59  26

Cell and atoms:
```
data_Pr2Si5Pt3
_chemical_formula_sum 'Pr8 Si20 Pt12'
_space_group_name_H-M_alt 'I b a m'
_space_group_IT_number 72
_space_group_name_Hall '-I 2 2c'
_cell_length_a 10.054
_cell_length_b 11.708
_cell_length_c 6.140
_cell_angle_alpha 90.00
_cell_angle_beta 90.00
_cell_angle_gamma 90.00
loop_
_atom_site_label
_atom_site_type_symbol
_atom_site_fract_x
_atom_site_fract_y
_atom_site_fract_z
Pr1 Pr 0.233 0.128 0.000
Si1 Si 0.000 0.000 0.250
Si2 Si 0.000 0.271 0.250
Si3 Si 0.149 0.386 0.000
Pt1 Pt 0.000 0.500 0.250
Pt2 Pt 0.110 0.136 0.500
```